# Pu2PaIn
Computed PXRD pattern, copper Kα. Input: a crystal structure in Alexandria, relaxed with GGA-PBE.
Neutral-atom scattering factors, no anomalous dispersion.

Cell lengths 3.885, 3.885, 6.724 Å; angles 90.00, 90.00, 90.00 degrees
Space group P4/mmm (No. 123)
Inequivalent atoms, fractional coordinates:
1 Pu 0.000 0.000 0.249 [2 per cell]
2 Pa 0.500 0.500 0.000 [1 per cell]
3 In 0.500 0.500 0.500 [1 per cell]

The 10 most intense peaks (2θ = 15–90°), low angle first:
index	2θ (°)	intensity
1 1 0	32.60	605
1 0 2	35.30	1000
2 0 0	46.77	236
0 0 4	54.59	90
2 1 2	59.93	443
1 1 4	65.05	171
2 2 0	68.29	81
2 0 4	74.67	123
3 1 0	77.73	104
3 0 2	79.28	112